Entry 1:
This entry pairs a crystal structure of MgCoRe2O8 with its simulated powder diffractogram. Radiation: Cu Kα X-rays. Structure: a GGA+U-relaxed structure.

Top 6 peaks for 10 to 90 degrees two-theta, by angle:
| two_theta | I (rel.) |
| --- | --- |
| 23.4 | 48.2 |
| 23.8 | 100.0 |
| 30.5 | 29.4 |
| 30.6 | 57.9 |
| 36.5 | 28.2 |
| 50.4 | 15.8 |

Atomic structure:
abc: 5.615 5.835 5.847
angles: 60.33 89.17 89.89
Fractional coordinates of all 12 atoms:
Mg  0.000  0.000  0.000
Co  0.500  0.000  0.000
Re  0.179  0.335  0.332
Re  0.821  0.665  0.668
O  0.132  0.664  0.662
O  0.253  0.163  0.154
O  0.256  0.159  0.676
O  0.257  0.682  0.153
O  0.743  0.318  0.847
O  0.744  0.841  0.324
O  0.747  0.837  0.846
O  0.868  0.336  0.338


Entry 2:
This entry pairs a crystal structure of Sr4MgCo2S2O6 with its simulated powder diffractogram. Radiation: Cu Kα X-rays. Structure: a GGA+U-relaxed structure.

Top 6 peaks for 10 to 90 degrees two-theta, by angle:
| two_theta | I (rel.) |
| --- | --- |
| 10.9 | 21.7 |
| 31.8 | 100.0 |
| 32.6 | 51.7 |
| 40.5 | 19.9 |
| 46.8 | 33.8 |
| 57.7 | 35.4 |

Atomic structure:
abc: 3.882 3.882 16.301
angles: 90.00 90.00 90.00
Fractional coordinates of all 15 atoms:
Sr  0.000  0.500  0.085
Sr  0.000  0.500  0.308
Sr  0.500  0.000  0.692
Sr  0.500  0.000  0.915
Mg  0.000  0.000  0.500
Co  0.000  0.500  0.813
Co  0.500  0.000  0.187
S  0.000  0.500  0.596
S  0.500  0.000  0.404
O  0.000  0.000  0.207
O  0.000  0.000  0.793
O  0.000  0.500  0.932
O  0.500  0.000  0.068
O  0.500  0.500  0.207
O  0.500  0.500  0.793


Entry 3:
This entry pairs a crystal structure of MgCo5SbO12 with its simulated powder diffractogram. Radiation: Cu Kα X-rays. Structure: a GGA+U-relaxed structure.

Top 6 peaks for 10 to 90 degrees two-theta, by angle:
| two_theta | I (rel.) |
| --- | --- |
| 18.0 | 100.0 |
| 35.1 | 10.9 |
| 35.6 | 11.3 |
| 35.8 | 10.2 |
| 37.4 | 11.0 |
| 46.8 | 9.4 |

Atomic structure:
abc: 5.096 5.146 9.946
angles: 93.32 94.32 119.47
Fractional coordinates of all 19 atoms:
Mg  0.000  0.000  0.000
Co  0.073  0.737  0.260
Co  0.260  0.609  0.755
Co  0.398  0.404  0.246
Co  0.735  0.074  0.246
Co  0.920  0.932  0.710
Sb  0.597  0.274  0.759
O  0.038  0.350  0.144
O  0.093  0.123  0.343
O  0.251  0.922  0.644
O  0.269  0.274  0.860
O  0.367  0.060  0.147
O  0.440  0.761  0.336
O  0.545  0.566  0.650
O  0.646  0.969  0.860
O  0.720  0.736  0.148
O  0.741  0.411  0.336
O  0.896  0.264  0.643
O  0.958  0.645  0.860


Entry 4:
This entry pairs a crystal structure of MgCo5SbO12 with its simulated powder diffractogram. Radiation: Cu Kα X-rays. Structure: a GGA+U-relaxed structure.

Top 6 peaks for 10 to 90 degrees two-theta, by angle:
| two_theta | I (rel.) |
| --- | --- |
| 17.2 | 100.0 |
| 35.6 | 26.0 |
| 35.7 | 15.4 |
| 40.1 | 9.6 |
| 43.4 | 14.2 |
| 43.9 | 17.0 |

Atomic structure:
abc: 5.196 5.196 10.336
angles: 90.52 90.52 121.97
Fractional coordinates of all 19 atoms:
Mg  0.000  0.000  0.000
Co  0.021  0.692  0.236
Co  0.197  0.532  0.721
Co  0.357  0.357  0.223
Co  0.532  0.197  0.721
Co  0.692  0.021  0.236
Sb  0.867  0.867  0.701
O  0.023  0.320  0.127
O  0.060  0.060  0.325
O  0.173  0.173  0.830
O  0.217  0.881  0.618
O  0.320  0.023  0.127
O  0.374  0.688  0.313
O  0.499  0.499  0.627
O  0.537  0.868  0.812
O  0.688  0.374  0.313
O  0.688  0.688  0.124
O  0.868  0.537  0.812
O  0.881  0.217  0.618